Diffraction record for NdHg. The powder XRD pattern is computed, not measured: it uses a PBE-relaxed structure and Cu Kα (λ = 1.5418 Å).

Cell and atoms:
a = 3.8432 Å, b = 3.8432 Å, c = 3.8432 Å
α = 90.00°, β = 90.00°, γ = 90.00°
Sites, in units of the cell vectors:
Nd 0.0000 0.0000 0.0000
Hg 0.5000 0.5000 0.5000

Largest 10 diffraction maxima, in order of rising 2θ, 10° ≤ 2θ ≤ 90°:
2θ (°), I/Imax, hkl
23.14, 3, 1 0 0
32.96, 100, 1 1 0
40.66, 1, 1 1 1
47.30, 18, 2 0 0
53.30, 1, 2 1 0
58.86, 39, 2 1 1
69.13, 12, 2 2 0
73.99, 1, 3 0 0
78.74, 17, 3 1 0
88.03, 4, 2 2 2